Record 1
The following is a simulated powder diffraction line list of ZnSn2O4. It was derived from a crystal structure in the Materials Project, relaxed with GGA-PBE, using Cu Kα (weighted mean of Kα1 and Kα2).
Lines closer than 0.1° are merged.

Principal peaks in the range 2θ from 15° to 90°, low angle first:
2θ = 24.9°, d = 3.581 Å, I = 37, hkl 0 2 0
2θ = 27.5°, d = 3.239 Å, I = 54, hkl 1 1 2
2θ = 30.4°, d = 2.943 Å, I = 62, hkl 1 2 1
2θ = 32.4°, d = 2.764 Å, I = 100, hkl 2 1 1
2θ = 32.9°, d = 2.726 Å, I = 38, hkl 0 1 3
2θ = 48.8°, d = 1.867 Å, I = 45, hkl 2 3 1
2θ = 51.0°, d = 1.789 Å, I = 37, hkl 0 4 0
2θ = 56.8°, d = 1.620 Å, I = 59, hkl 2 2 4

Atomic structure:
Lattice parameters (Å, degrees): 6.367 7.162 8.844 90.00 90.00 90.00
Space group Imma (No. 74)
One atom of each set of equivalent atoms:
Zn 0.000 0.000 0.000 (multiplicity 4)
Sn 0.000 0.250 0.361 (multiplicity 4)
Sn 0.250 0.250 0.750 (multiplicity 4)
O 0.000 0.055 0.765 (multiplicity 8)
O 0.233 0.250 0.985 (multiplicity 8)



Record 2
The following is a simulated powder diffraction line list of UCoB4. It was derived from a crystal structure in the Materials Project, relaxed with GGA-PBE, using Cu Kα (weighted mean of Kα1 and Kα2).
Lines closer than 0.1° are merged.

Principal peaks in the range 2θ from 15° to 90°, low angle first:
2θ = 21.7°, d = 4.096 Å, I = 39, hkl 1 2 0
2θ = 26.5°, d = 3.362 Å, I = 68, hkl 0 0 1
2θ = 27.9°, d = 3.195 Å, I = 38, hkl 1 3 0
2θ = 31.4°, d = 2.850 Å, I = 89, hkl 2 1 0
2θ = 34.5°, d = 2.599 Å, I = 30, hkl 1 2 1
2θ = 38.9°, d = 2.316 Å, I = 38, hkl 1 3 1
2θ = 41.5°, d = 2.174 Å, I = 100, hkl 2 1 1
2θ = 64.3°, d = 1.448 Å, I = 24, hkl 2 1 2

Atomic structure:
Lattice parameters (Å, degrees): 5.884 11.413 3.362 90.00 90.00 90.00
Space group Pbam (No. 55)
One atom of each set of equivalent atoms:
U 0.126 0.151 0.000 (multiplicity 4)
Co 0.131 0.414 0.000 (multiplicity 4)
B 0.026 0.692 0.500 (multiplicity 4)
B 0.114 0.546 0.500 (multiplicity 4)
B 0.134 0.966 0.500 (multiplicity 4)
B 0.217 0.813 0.500 (multiplicity 4)



Record 3
The following is a simulated powder diffraction line list of KZrCuSe3. It was derived from a crystal structure in the Materials Project, relaxed with GGA-PBE, using Cu Kα (weighted mean of Kα1 and Kα2).
Lines closer than 0.1° are merged.

Principal peaks in the range 2θ from 15° to 90°, low angle first:
2θ = 28.7°, d = 3.106 Å, I = 43, hkl 0 2 3
2θ = 29.0°, d = 3.075 Å, I = 40, hkl 1 3 0
2θ = 30.3°, d = 2.945 Å, I = 100, hkl 1 3 1
2θ = 34.0°, d = 2.636 Å, I = 85, hkl 1 3 2
2θ = 35.0°, d = 2.560 Å, I = 44, hkl 0 0 4
2θ = 41.9°, d = 2.155 Å, I = 77, hkl 1 5 2
2θ = 46.5°, d = 1.954 Å, I = 38, hkl 2 0 0
2θ = 53.8°, d = 1.705 Å, I = 40, hkl 1 3 5

Atomic structure:
Lattice parameters (Å, degrees): 3.907 14.955 10.242 90.00 90.00 90.00
Space group Cmcm (No. 63)
One atom of each set of equivalent atoms:
K 0.000 0.249 0.250 (multiplicity 4)
Zr 0.000 0.500 0.000 (multiplicity 4)
Cu 0.000 0.031 0.750 (multiplicity 4)
Se 0.000 0.122 0.554 (multiplicity 8)
Se 0.000 0.432 0.750 (multiplicity 4)



Record 4
The following is a simulated powder diffraction line list of La2Al3Cu7. It was derived from a crystal structure in the Materials Project, relaxed with GGA-PBE, using Cu Kα (weighted mean of Kα1 and Kα2).
Lines closer than 0.1° are merged.

Principal peaks in the range 2θ from 15° to 90°, low angle first:
2θ = 21.2°, d = 4.193 Å, I = 21, hkl 0 1 0
2θ = 29.0°, d = 3.079 Å, I = 35, hkl 0 1 2
2θ = 34.0°, d = 2.634 Å, I = 41, hkl 1 0 -3
2θ = 39.7°, d = 2.268 Å, I = 22, hkl 0 0 4
2θ = 40.4°, d = 2.230 Å, I = 100, hkl 2 1 0
2θ = 40.7°, d = 2.217 Å, I = 48, hkl 1 1 3
2θ = 43.2°, d = 2.096 Å, I = 34, hkl 0 2 0
2θ = 65.6°, d = 1.422 Å, I = 22, hkl 0 1 6

Atomic structure:
Lattice parameters (Å, degrees): 5.265 4.193 9.075 90.00 90.59 90.00
Space group P2/m (No. 10)
One atom of each set of equivalent atoms:
La 0.250 0.000 0.249 (multiplicity 2)
Al 0.245 0.500 0.755 (multiplicity 2)
Al 0.500 0.500 0.500 (multiplicity 1)
Cu 0.000 0.500 0.000 (multiplicity 1)
Cu 0.000 0.500 0.500 (multiplicity 1)
Cu 0.249 0.000 0.583 (multiplicity 2)
Cu 0.250 0.000 0.917 (multiplicity 2)
Cu 0.500 0.500 0.000 (multiplicity 1)



Record 5
The following is a simulated powder diffraction line list of TiZn2IrO6. It was derived from a crystal structure in the Materials Project, relaxed with GGA-PBE, using Cu Kα (weighted mean of Kα1 and Kα2).
Lines closer than 0.1° are merged.

Principal peaks in the range 2θ from 15° to 90°, low angle first:
2θ = 20.5°, d = 4.323 Å, I = 83, hkl 1 0 0
2θ = 33.6°, d = 2.664 Å, I = 100, hkl 1 1 1
2θ = 33.8°, d = 2.654 Å, I = 98, hkl 1 1 -3
2θ = 34.2°, d = 2.620 Å, I = 47, hkl 0 2 0
2θ = 34.3°, d = 2.611 Å, I = 46, hkl 2 0 -2
2θ = 40.3°, d = 2.239 Å, I = 37, hkl 1 2 0
2θ = 49.3°, d = 1.850 Å, I = 43, hkl 2 2 -2
2θ = 61.0°, d = 1.520 Å, I = 63, hkl 3 1 -1

Atomic structure:
Lattice parameters (Å, degrees): 5.222 5.241 9.237 90.00 124.12 90.00
Space group P2_1/c (No. 14)
One atom of each set of equivalent atoms:
Ti 0.000 0.000 0.000 (multiplicity 2)
Zn 0.255 0.032 0.749 (multiplicity 4)
Ir 0.500 0.000 0.500 (multiplicity 2)
O 0.109 0.182 0.436 (multiplicity 4)
O 0.259 0.675 0.437 (multiplicity 4)
O 0.367 0.079 0.250 (multiplicity 4)



Record 6
The following is a simulated powder diffraction line list of CsNiBr3. It was derived from a crystal structure in the Materials Project, relaxed with GGA-PBE, using Cu Kα (weighted mean of Kα1 and Kα2).
Lines closer than 0.1° are merged.

Principal peaks in the range 2θ from 15° to 90°, low angle first:
2θ = 23.1°, d = 3.848 Å, I = 14, hkl 1 1 0
2θ = 28.2°, d = 3.168 Å, I = 19, hkl 0 0 2
2θ = 30.3°, d = 2.949 Å, I = 100, hkl 2 0 1
2θ = 39.2°, d = 2.296 Å, I = 30, hkl 2 0 2
2θ = 47.2°, d = 1.924 Å, I = 24, hkl 2 2 0
2θ = 51.2°, d = 1.784 Å, I = 22, hkl 2 0 3
2θ = 55.9°, d = 1.644 Å, I = 14, hkl 2 2 2
2θ = 57.2°, d = 1.611 Å, I = 14, hkl 4 0 1

Atomic structure:
Lattice parameters (Å, degrees): 7.6959 7.6959 6.3364 90.00 90.00 120.00
Space group P6_3/mmc (No. 194)
One atom of each set of equivalent atoms:
Cs 0.3333 0.6667 0.2500 (multiplicity 2)
Ni 0.0000 0.0000 0.0000 (multiplicity 2)
Br 0.1522 0.3044 0.7500 (multiplicity 6)



Record 7
The following is a simulated powder diffraction line list of CsMg6C. It was derived from a crystal structure in the Materials Project, relaxed with GGA-PBE, using Cu Kα (weighted mean of Kα1 and Kα2).
Lines closer than 0.1° are merged.

Principal peaks in the range 2θ from 15° to 90°, low angle first:
2θ = 21.1°, d = 4.207 Å, I = 51, hkl 0 1 3
2θ = 21.3°, d = 4.171 Å, I = 35, hkl 0 2 0
2θ = 24.6°, d = 3.623 Å, I = 52, hkl 0 2 2
2θ = 29.2°, d = 3.063 Å, I = 100, hkl 1 0 2
2θ = 32.5°, d = 2.759 Å, I = 36, hkl 0 1 5
2θ = 32.6°, d = 2.749 Å, I = 43, hkl 0 2 4
2θ = 32.8°, d = 2.732 Å, I = 34, hkl 0 3 1
2θ = 36.4°, d = 2.470 Å, I = 83, hkl 1 2 2

Atomic structure:
Lattice parameters (Å, degrees): 3.377 8.343 14.615 90.00 90.00 90.00
Space group Amm2 (No. 38)
One atom of each set of equivalent atoms:
Cs 0.000 0.000 0.000 (multiplicity 2)
Mg 0.000 0.000 0.453 (multiplicity 2)
Mg 0.000 0.173 0.785 (multiplicity 4)
Mg 0.500 0.000 0.255 (multiplicity 2)
Mg 0.500 0.165 0.624 (multiplicity 4)
C 0.500 0.000 0.756 (multiplicity 2)



Record 8
The following is a simulated powder diffraction line list of SmAgGe. It was derived from a crystal structure in the Materials Project, relaxed with GGA-PBE, using Cu Kα (weighted mean of Kα1 and Kα2).
Lines closer than 0.1° are merged.

Principal peaks in the range 2θ from 15° to 90°, low angle first:
2θ = 32.2°, d = 2.778 Å, I = 100, hkl 1 1 1
2θ = 35.3°, d = 2.542 Å, I = 79, hkl 2 0 1
2θ = 37.8°, d = 2.382 Å, I = 46, hkl 2 1 0
2θ = 42.0°, d = 2.151 Å, I = 28, hkl 0 0 2
2θ = 43.1°, d = 2.101 Å, I = 21, hkl 3 0 0
2θ = 56.8°, d = 1.620 Å, I = 20, hkl 3 1 1
2θ = 57.7°, d = 1.597 Å, I = 26, hkl 2 1 2
2θ = 68.4°, d = 1.371 Å, I = 23, hkl 3 2 1

Atomic structure:
Lattice parameters (Å, degrees): 7.2785 7.2785 4.3021 90.00 90.00 120.00
Space group P-62m (No. 189)
One atom of each set of equivalent atoms:
Sm 0.0000 0.5887 0.0000 (multiplicity 3)
Ag 0.0000 0.2511 0.5000 (multiplicity 3)
Ge 0.0000 0.0000 0.0000 (multiplicity 1)
Ge 0.3333 0.6667 0.5000 (multiplicity 2)